No. 1
The following is a calculated powder XRD pattern of MnBi12O20. It was derived from a DFT-relaxed cell (PBE+U, the Materials Project), using copper Kα.
Neutral-atom scattering factors, no anomalous dispersion.

Largest 10 diffraction maxima, in order of rising 2θ, 5 to 70 degrees two-theta:
2θ (°)  d_spacing  intensity
24.43  3.643  22
27.37  3.259  100
30.04  2.975  23
32.51  2.754  67
41.08  2.197  15
44.85  2.021  15
51.72  1.767  40
53.34  1.718  18
54.92  1.672  29
60.98  1.519  21

Atomic structure:
```
MnBi12O20
1.0
-5.153 5.153 5.153
5.153 -5.153 5.153
5.153 5.153 -5.153
Mn Bi O
1 12 20
Direct
0.000 0.000 0.000
0.141 0.303 0.807
0.162 0.859 0.666
0.193 0.496 0.334
0.303 0.807 0.141
0.334 0.193 0.496
0.496 0.334 0.193
0.504 0.697 0.838
0.666 0.162 0.859
0.697 0.838 0.504
0.807 0.141 0.303
0.838 0.504 0.697
0.859 0.666 0.162
0.000 0.000 0.206
0.000 0.000 0.611
0.000 0.206 0.000
0.000 0.611 0.000
0.120 0.762 0.380
0.206 0.000 0.000
0.238 0.358 0.618
0.261 0.642 0.880
0.358 0.618 0.238
0.380 0.120 0.762
0.382 0.739 0.620
0.389 0.389 0.389
0.611 0.000 0.000
0.618 0.238 0.358
0.620 0.382 0.739
0.642 0.880 0.261
0.739 0.620 0.382
0.762 0.380 0.120
0.794 0.794 0.794
0.880 0.261 0.642
```

***

No. 2
The following is a calculated powder XRD pattern of MgFe4P4O16. It was derived from a DFT-relaxed cell (PBE+U, the Materials Project), using copper Kα.
Neutral-atom scattering factors, no anomalous dispersion.

Largest 10 diffraction maxima, in order of rising 2θ, 5 to 70 degrees two-theta:
2θ (°)  d_spacing  intensity
17.60  5.040  66
19.55  4.542  34
19.85  4.472  49
24.70  3.604  61
24.93  3.571  45
29.45  3.033  28
30.13  2.966  100
35.23  2.547  86
35.77  2.510  58
56.92  1.618  39

Atomic structure:
```
MgFe4P4O16
1.0
5.039 0.000 0.000
0.000 5.932 0.000
-0.194 0.000 10.080
Mg Fe P O
1 4 4 16
Direct
0.000 0.000 0.000
0.418 0.000 0.822
0.472 0.500 0.301
0.868 0.500 0.784
0.992 0.000 0.350
0.039 0.500 0.471
0.307 0.500 0.976
0.523 0.000 0.165
0.850 0.000 0.658
0.082 0.500 0.623
0.146 0.293 0.913
0.146 0.707 0.913
0.148 0.000 0.683
0.188 0.300 0.402
0.188 0.700 0.402
0.216 0.000 0.165
0.276 0.500 0.126
0.593 0.500 0.930
0.611 0.000 0.015
0.651 0.207 0.235
0.651 0.793 0.235
0.715 0.203 0.737
0.715 0.797 0.737
0.741 0.500 0.439
0.766 0.000 0.514
```